1.
Simulated XRD peak list
Compound: Cr9FeB6
Radiation: Cu Kα (λ = 1.5418 Å)
Structure: a PBE-relaxed structure

Principal peaks in the range 10 to 90 degrees two-theta, by intensity:
2θ = 46.46°, intensity 100; 2θ = 38.45°, intensity 51; 2θ = 49.66°, intensity 43; 2θ = 53.84°, intensity 36; 2θ = 37.93°, intensity 26; 2θ = 43.18°, intensity 24; 2θ = 29.45°, intensity 21; 2θ = 78.65°, intensity 18; 2θ = 85.80°, intensity 16; 2θ = 77.47°, intensity 15

Structural model:
a = 6.2998 Å, b = 6.2998 Å, c = 6.2998 Å
α = 129.40°, β = 129.40°, γ = 74.36°
Sites, in units of the cell vectors:
Cr: 0.0000 0.0000 0.0000
Cr: 0.0215 0.5250 0.8422
Cr: 0.1794 0.0215 0.4965
Cr: 0.3171 0.8206 0.8422
Cr: 0.4750 0.3171 0.4965
Cr: 0.5250 0.6829 0.5035
Cr: 0.6829 0.1794 0.1578
Cr: 0.8206 0.9785 0.5035
Cr: 0.9785 0.4750 0.1578
Fe: 0.5000 0.5000 0.0000
B: 0.1236 0.3843 0.5080
B: 0.2488 0.2488 0.0000
B: 0.3843 0.8764 0.2607
B: 0.6157 0.1236 0.7393
B: 0.7512 0.7512 0.0000
B: 0.8764 0.6157 0.4920


2.
Simulated XRD peak list
Compound: CrFeB2
Radiation: Cu Kα (λ = 1.5418 Å)
Structure: a PBE-relaxed structure

Principal peaks in the range 10 to 90 degrees two-theta, by intensity:
2θ = 41.19°, intensity 100; 2θ = 47.19°, intensity 68; 2θ = 45.20°, intensity 63; 2θ = 37.63°, intensity 55; 2θ = 39.46°, intensity 33; 2θ = 50.63°, intensity 32; 2θ = 32.61°, intensity 30; 2θ = 54.90°, intensity 30; 2θ = 57.20°, intensity 25; 2θ = 76.91°, intensity 24

Structural model:
a = 2.9376 Å, b = 4.1129 Å, c = 5.4913 Å
α = 90.00°, β = 90.00°, γ = 90.00°
Sites, in units of the cell vectors:
Cr: 0.0000 0.1261 0.0000
Cr: 0.0000 0.8739 0.5000
Fe: 0.5000 0.3642 0.6415
Fe: 0.5000 0.6358 0.1415
B: 0.0000 0.3716 0.3547
B: 0.0000 0.6284 0.8547
B: 0.5000 0.1438 0.2851
B: 0.5000 0.8562 0.7851


3.
Simulated XRD peak list
Compound: CrB6H16
Radiation: Cu Kα (λ = 1.5418 Å)
Structure: a PBE-relaxed structure

Principal peaks in the range 10 to 90 degrees two-theta, by intensity:
2θ = 17.03°, intensity 100; 2θ = 10.37°, intensity 67; 2θ = 23.21°, intensity 28; 2θ = 21.64°, intensity 22; 2θ = 25.55°, intensity 20; 2θ = 32.67°, intensity 17; 2θ = 31.50°, intensity 10; 2θ = 38.97°, intensity 9; 2θ = 35.38°, intensity 8; 2θ = 45.85°, intensity 6

Structural model:
a = 4.4752 Å, b = 5.8843 Å, c = 8.9893 Å
α = 105.93°, β = 92.45°, γ = 111.62°
Sites, in units of the cell vectors:
Cr: 0.0000 0.0000 0.0000
B: 0.1109 0.8356 0.6323
B: 0.2660 0.8084 0.8129
B: 0.3125 0.1119 0.8047
B: 0.6875 0.8881 0.1953
B: 0.7340 0.1916 0.1871
B: 0.8891 0.1644 0.3677
H: 0.0734 0.7143 0.8992
H: 0.1264 0.6292 0.6856
H: 0.1419 0.2154 0.8829
H: 0.1797 0.2382 0.3975
H: 0.2019 0.1079 0.6714
H: 0.2561 0.8086 0.5240
H: 0.4104 0.7354 0.1687
H: 0.4814 0.2157 0.1580
H: 0.5186 0.7843 0.8420
H: 0.5896 0.2646 0.8313
H: 0.7439 0.1914 0.4760
H: 0.7981 0.8921 0.3286
H: 0.8203 0.7618 0.6025
H: 0.8581 0.7846 0.1171
H: 0.8736 0.3708 0.3144
H: 0.9266 0.2857 0.1008


4.
Simulated XRD peak list
Compound: CrB6H16
Radiation: Cu Kα (λ = 1.5418 Å)
Structure: a PBE-relaxed structure

Principal peaks in the range 10 to 90 degrees two-theta, by intensity:
2θ = 10.37°, intensity 100; 2θ = 17.06°, intensity 64; 2θ = 22.65°, intensity 42; 2θ = 23.21°, intensity 41; 2θ = 22.46°, intensity 32; 2θ = 32.65°, intensity 26; 2θ = 27.62°, intensity 25; 2θ = 31.49°, intensity 24; 2θ = 25.55°, intensity 16; 2θ = 40.35°, intensity 14

Structural model:
a = 4.4752 Å, b = 5.8843 Å, c = 8.9893 Å
α = 105.93°, β = 92.45°, γ = 111.62°
Sites, in units of the cell vectors:
Cr: 0.0000 0.0000 0.0000
B: 0.4531 0.9955 0.8129
B: 0.4786 0.2033 0.6323
B: 0.4922 0.6928 0.1953
B: 0.5078 0.3072 0.8047
B: 0.5214 0.7967 0.3677
B: 0.5469 0.0045 0.1871
H: 0.1742 0.8151 0.8992
H: 0.2178 0.1593 0.6025
H: 0.2416 0.5667 0.1687
H: 0.2591 0.3326 0.8829
H: 0.2679 0.7154 0.4760
H: 0.3234 0.0576 0.1580
H: 0.4408 0.9436 0.6856
H: 0.4695 0.5635 0.3286
H: 0.5305 0.4365 0.6714
H: 0.5592 0.0564 0.3144
H: 0.6766 0.9424 0.8420
H: 0.7321 0.2846 0.5240
H: 0.7409 0.6674 0.1171
H: 0.7584 0.4333 0.8313
H: 0.7822 0.8407 0.3975
H: 0.8258 0.1849 0.1008


5.
Simulated XRD peak list
Compound: Ho3CrB7
Radiation: Cu Kα (λ = 1.5418 Å)
Structure: a PBE-relaxed structure

Principal peaks in the range 10 to 90 degrees two-theta, by intensity:
2θ = 39.56°, intensity 100; 2θ = 29.69°, intensity 99; 2θ = 26.61°, intensity 77; 2θ = 30.94°, intensity 70; 2θ = 32.64°, intensity 62; 2θ = 43.58°, intensity 44; 2θ = 34.14°, intensity 42; 2θ = 22.16°, intensity 40; 2θ = 40.05°, intensity 39; 2θ = 57.24°, intensity 38

Structural model:
a = 8.0635 Å, b = 8.0635 Å, c = 9.3219 Å
α = 90.00°, β = 90.00°, γ = 155.46°
Sites, in units of the cell vectors:
Ho: 0.1049 0.8951 0.5597
Ho: 0.1049 0.8951 0.9403
Ho: 0.2415 0.7585 0.2500
Ho: 0.7585 0.2415 0.7500
Ho: 0.8951 0.1049 0.0597
Ho: 0.8951 0.1049 0.4403
Cr: 0.0533 0.9467 0.2500
Cr: 0.9467 0.0533 0.7500
B: 0.2729 0.7271 0.5322
B: 0.2729 0.7271 0.9678
B: 0.3689 0.6311 0.6513
B: 0.3689 0.6311 0.8487
B: 0.4590 0.5410 0.2500
B: 0.4788 0.5212 0.5963
B: 0.4788 0.5212 0.9037
B: 0.5212 0.4788 0.0963
B: 0.5212 0.4788 0.4037
B: 0.5410 0.4590 0.7500
B: 0.6311 0.3689 0.1513
B: 0.6311 0.3689 0.3487
B: 0.7271 0.2729 0.0322
B: 0.7271 0.2729 0.4678